(1)
In5Pb: computed powder diffractogram (Cu Kα), based on DFT lattice parameters and positions (PBE).

Structural model:
Unit cell a=3.516 b=3.516 c=13.554 alpha=90.00 beta=90.00 gamma=90.00
Space group P4/mmm (No. 123)
Unique sites:
1 In 0.000 0.000 0.000 [1 per cell]
2 In 0.000 0.000 0.324 [2 per cell]
3 In 0.500 0.500 0.161 [2 per cell]
4 Pb 0.500 0.500 0.500 [1 per cell]

Main lines, low angle first (2θ = 10–90°):
(1 0 2), 28.6°, d 3.121, I = 3
(1 0 3), 32.3°, d 2.775, I = 100
(1 1 0), 36.1°, d 2.486, I = 37
(0 0 6), 39.9°, d 2.259, I = 13
(2 0 0), 52.0°, d 1.758, I = 13
(1 1 6), 54.9°, d 1.672, I = 21
(2 1 3), 62.5°, d 1.485, I = 29
(2 0 6), 67.5°, d 1.387, I = 11
(1 0 9), 67.7°, d 1.384, I = 10
(2 2 0), 76.7°, d 1.243, I = 4
(3 0 3), 85.6°, d 1.134, I = 6
(3 1 0), 87.8°, d 1.112, I = 6


(2)
LiRuF5: computed powder diffractogram (Cu Kα), based on DFT lattice parameters and positions (PBE).

Structural model:
Unit cell a=8.355 b=6.757 c=7.656 alpha=90.00 beta=117.37 gamma=90.00
Space group C2/c (No. 15)
Unique sites:
1 Li 0.000 0.048 0.250 [4 per cell]
2 Ru 0.000 0.500 0.000 [4 per cell]
3 F 0.000 0.416 0.750 [4 per cell]
4 F 0.035 0.223 0.462 [8 per cell]
5 F 0.245 0.044 0.861 [8 per cell]

Main lines, low angle first (2θ = 10–90°):
(1 1 0), 17.8°, d 4.996, I = 100
(2 0 0), 24.0°, d 3.710, I = 33
(2 0 -2), 26.2°, d 3.402, I = 38
(0 2 0), 26.4°, d 3.378, I = 21
(1 1 -2), 26.8°, d 3.331, I = 49
(3 1 0), 38.8°, d 2.323, I = 15
(1 3 0), 41.9°, d 2.155, I = 14
(1 3 -2), 46.8°, d 1.941, I = 14
(4 0 0), 49.1°, d 1.855, I = 10
(3 1 -4), 51.1°, d 1.787, I = 13
(2 2 -4), 55.2°, d 1.665, I = 13
(5 1 -2), 56.8°, d 1.621, I = 11


(3)
Pm5DySb6: computed powder diffractogram (Cu Kα), based on DFT lattice parameters and positions (PBE).

Structural model:
Unit cell a=7.751 b=13.429 c=7.752 alpha=90.00 beta=109.49 gamma=90.00
Space group C2/m (No. 12)
Unique sites:
1 Pm 0.000 0.000 0.000 [2 per cell]
2 Pm 0.000 0.166 0.500 [4 per cell]
3 Pm 0.000 0.332 0.000 [4 per cell]
4 Dy 0.000 0.500 0.500 [2 per cell]
5 Sb 0.246 0.500 0.251 [4 per cell]
6 Sb 0.247 0.335 0.747 [8 per cell]

Main lines, low angle first (2θ = 10–90°):
(2 0 0), 24.4°, d 3.654, I = 2
(1 3 1), 28.2°, d 3.165, I = 100
(2 0 2), 40.3°, d 2.238, I = 76
(3 3 1), 47.7°, d 1.908, I = 1
(4 0 0), 49.9°, d 1.827, I = 27
(2 6 2), 58.3°, d 1.582, I = 13
(4 0 2), 64.1°, d 1.452, I = 1
(3 3 3), 66.0°, d 1.415, I = 35
(1 3 5), 73.3°, d 1.292, I = 26
(4 0 4), 87.1°, d 1.119, I = 8